Theoretical X-ray powder pattern of Nd2MgIrO6 for CuKα, from a GGA-PBE-relaxed structure.

Peak list (6 most intense, 10 to 80 degrees two-theta, sorted by position)
hkl 0 1 1, 2θ = 19.16°, intensity 23; hkl 1 0 0, 2θ = 19.63°, intensity 22; hkl 0 2 0, 2θ = 31.22°, intensity 22; hkl 1 1 1, 2θ = 31.99°, intensity 100; hkl 2 0 -2, 2θ = 32.42°, intensity 25; hkl 2 2 -2, 2θ = 45.63°, intensity 21

Structural model:
a b c (Å): 5.5225 5.7305 9.6085
angles (deg): 90.00 124.96 90.00
Fractional coordinates of all 20 atoms:
Nd1 0.2362 0.0579 0.2506
Nd2 0.2362 0.4421 0.7506
Nd3 0.7638 0.5579 0.2494
Nd4 0.7638 0.9421 0.7494
Mg1 0.5000 0.0000 0.0000
Mg2 0.5000 0.5000 0.5000
Ir1 0.0000 0.0000 0.5000
Ir2 0.0000 0.5000 0.0000
O1 0.1458 0.2050 0.9497
O2 0.1458 0.2950 0.4497
O3 0.2489 0.7015 0.9502
O4 0.2489 0.7985 0.4502
O5 0.3435 0.0290 0.7480
O6 0.3435 0.4710 0.2480
O7 0.6565 0.5290 0.7520
O8 0.6565 0.9710 0.2520
O9 0.7511 0.2015 0.5498
O10 0.7511 0.2985 0.0498
O11 0.8542 0.7050 0.5503
O12 0.8542 0.7950 0.0503


Theoretical X-ray powder pattern of Mg2NiIr for CuKα, from a GGA-PBE-relaxed structure.

Peak list (6 most intense, 10 to 80 degrees two-theta, sorted by position)
hkl 1 1 1, 2θ = 25.08°, intensity 40; hkl 2 0 0, 2θ = 29.04°, intensity 57; hkl 2 2 0, 2θ = 41.53°, intensity 100; hkl 3 1 1, 2θ = 49.13°, intensity 21; hkl 4 2 0, 2θ = 68.19°, intensity 20; hkl 4 2 2, 2θ = 75.77°, intensity 33

Structural model:
a b c (Å): 6.1502 6.1502 6.1502
angles (deg): 90.00 90.00 90.00
Fractional coordinates of all 16 atoms:
Mg1 0.2500 0.2500 0.2500
Mg2 0.2500 0.2500 0.7500
Mg3 0.2500 0.7500 0.2500
Mg4 0.2500 0.7500 0.7500
Mg5 0.7500 0.2500 0.2500
Mg6 0.7500 0.2500 0.7500
Mg7 0.7500 0.7500 0.2500
Mg8 0.7500 0.7500 0.7500
Ni1 0.0000 0.0000 0.0000
Ni2 0.0000 0.5000 0.5000
Ni3 0.5000 0.0000 0.5000
Ni4 0.5000 0.5000 0.0000
Ir1 0.0000 0.0000 0.5000
Ir2 0.0000 0.5000 0.0000
Ir3 0.5000 0.0000 0.0000
Ir4 0.5000 0.5000 0.5000